1.
LaMg2CdO: computed powder XRD pattern (Cu Kα), based on a DFT-relaxed cell (GGA-PBE, Alexandria).
Lines closer than 0.1° are merged.

Cell and atoms:
a b c (Å): 4.654 4.654 4.884
angles (deg): 90.00 90.00 90.00
Element x y z (fractional)
La 0.000 0.000 0.000
Mg 0.000 0.500 0.500
Mg 0.500 0.000 0.500
Cd 0.500 0.500 0.000
O 0.000 0.000 0.500

Most intense lines, 15° ≤ 2θ ≤ 90°, by angle:
| 2θ (°) | d [Å] | Rel. int. |
| --- | --- | --- |
| 18.17 | 4.884 | 43 |
| 27.10 | 3.291 | 47 |
| 32.82 | 2.729 | 100 |
| 36.81 | 2.442 | 23 |
| 38.70 | 2.327 | 40 |
| 46.30 | 1.961 | 21 |
| 54.47 | 1.684 | 28 |
| 66.34 | 1.409 | 26 |

=====

2.
BaNdSn2S6: computed powder XRD pattern (Cu Kα), based on a DFT-relaxed cell (GGA-PBE, Alexandria).
Lines closer than 0.1° are merged.

Cell and atoms:
a b c (Å): 4.044 20.289 12.084
angles (deg): 90.00 90.00 90.00
Element x y z (fractional)
Ba 0.000 0.078 0.000
Ba 0.000 0.365 0.438
Ba 0.000 0.635 0.938
Ba 0.000 0.922 0.500
Nd 0.000 0.122 0.365
Nd 0.000 0.419 0.061
Nd 0.000 0.581 0.561
Nd 0.000 0.878 0.865
Sn 0.000 0.252 0.778
Sn 0.000 0.748 0.278
Sn 0.500 0.090 0.675
Sn 0.500 0.250 0.186
Sn 0.500 0.425 0.735
Sn 0.500 0.575 0.235
Sn 0.500 0.750 0.686
Sn 0.500 0.910 0.175
S 0.000 0.014 0.739
S 0.000 0.165 0.602
S 0.000 0.260 0.064
S 0.000 0.494 0.779
S 0.000 0.506 0.279
S 0.000 0.740 0.564
S 0.000 0.835 0.102
S 0.000 0.986 0.239
S 0.500 0.043 0.476
S 0.500 0.123 0.188
S 0.500 0.159 0.848
S 0.500 0.231 0.388
S 0.500 0.319 0.636
S 0.500 0.364 0.917
S 0.500 0.373 0.222
S 0.500 0.477 0.539
S 0.500 0.523 0.039
S 0.500 0.627 0.722
S 0.500 0.636 0.417
S 0.500 0.681 0.136
S 0.500 0.769 0.888
S 0.500 0.841 0.348
S 0.500 0.877 0.688
S 0.500 0.957 0.976

Most intense lines, 15° ≤ 2θ ≤ 90°, by angle:
| 2θ (°) | d [Å] | Rel. int. |
| --- | --- | --- |
| 25.74 | 3.461 | 43 |
| 26.52 | 3.361 | 40 |
| 26.72 | 3.336 | 100 |
| 31.67 | 2.825 | 32 |
| 31.94 | 2.802 | 35 |
| 32.11 | 2.787 | 52 |
| 44.81 | 2.023 | 48 |
| 46.13 | 1.968 | 35 |

=====

3.
CsRb2As2Pt: computed powder XRD pattern (Cu Kα), based on a DFT-relaxed cell (GGA-PBE, Alexandria).
Lines closer than 0.1° are merged.

Cell and atoms:
a b c (Å): 9.039 9.039 9.039
angles (deg): 124.25 81.94 125.26
Element x y z (fractional)
Cs 0.250 0.250 0.000
Cs 0.750 0.750 0.000
Rb 0.206 0.649 0.855
Rb 0.294 0.149 0.444
Rb 0.706 0.851 0.556
Rb 0.794 0.351 0.145
As 0.041 0.344 0.385
As 0.459 0.844 0.302
As 0.541 0.156 0.698
As 0.959 0.656 0.615
Pt 0.250 0.750 0.500
Pt 0.750 0.250 0.500

Most intense lines, 15° ≤ 2θ ≤ 90°, by angle:
| 2θ (°) | d [Å] | Rel. int. |
| --- | --- | --- |
| 24.78 | 3.593 | 57 |
| 25.09 | 3.549 | 59 |
| 26.11 | 3.412 | 55 |
| 30.19 | 2.961 | 100 |
| 30.82 | 2.901 | 29 |
| 32.96 | 2.718 | 57 |
| 40.31 | 2.237 | 43 |
| 48.33 | 1.883 | 29 |

=====

4.
CsNb2Tl2S7: computed powder XRD pattern (Cu Kα), based on a DFT-relaxed cell (GGA-PBE, Alexandria).
Lines closer than 0.1° are merged.

Cell and atoms:
a b c (Å): 11.761 11.761 11.761
angles (deg): 36.20 36.20 36.20
Element x y z (fractional)
Cs 0.000 0.000 0.000
Nb 0.429 0.429 0.429
Nb 0.571 0.571 0.571
Tl 0.217 0.217 0.217
Tl 0.783 0.783 0.783
S 0.103 0.426 0.686
S 0.314 0.574 0.897
S 0.426 0.686 0.103
S 0.500 0.500 0.500
S 0.574 0.897 0.314
S 0.686 0.103 0.426
S 0.897 0.314 0.574

Most intense lines, 15° ≤ 2θ ≤ 90°, by angle:
| 2θ (°) | d [Å] | Rel. int. |
| --- | --- | --- |
| 17.68 | 5.017 | 51 |
| 19.45 | 4.563 | 100 |
| 24.36 | 3.654 | 90 |
| 31.37 | 2.852 | 22 |
| 34.70 | 2.585 | 59 |
| 40.11 | 2.248 | 26 |
| 42.88 | 2.109 | 30 |
| 49.91 | 1.827 | 26 |

=====

5.
Sc3AlAg3S8: computed powder XRD pattern (Cu Kα), based on a DFT-relaxed cell (GGA-PBE, Alexandria).
Lines closer than 0.1° are merged.

Cell and atoms:
a b c (Å): 7.456 7.456 7.627
angles (deg): 119.58 119.58 60.01
Element x y z (fractional)
Sc 0.000 0.000 0.000
Sc 0.000 0.500 0.000
Sc 0.500 0.000 0.000
Al 0.500 0.500 0.000
Ag 0.000 0.500 0.500
Ag 0.500 0.000 0.500
Ag 0.500 0.500 0.500
S 0.241 0.241 0.219
S 0.261 0.731 0.221
S 0.269 0.269 0.779
S 0.269 0.739 0.779
S 0.731 0.261 0.221
S 0.731 0.731 0.221
S 0.739 0.269 0.779
S 0.759 0.759 0.781

Most intense lines, 15° ≤ 2θ ≤ 90°, by angle:
| 2θ (°) | d [Å] | Rel. int. |
| --- | --- | --- |
| 16.66 | 5.323 | 25 |
| 29.25 | 3.054 | 21 |
| 33.62 | 2.666 | 100 |
| 33.79 | 2.652 | 49 |
| 47.71 | 1.906 | 16 |
| 47.96 | 1.897 | 32 |
| 48.86 | 1.864 | 48 |
| 60.72 | 1.525 | 16 |